# CaAl8
Simulated powder diffractogram, λ = 1.5418 Å (Cu Kα). Input: a DFT-relaxed cell (PBE, Alexandria).
Intensities are scaled so that the largest is 100.

Main lines, by angle (10 to 80 degrees two-theta):
28.2 deg, d 3.160, I 4
37.1 deg, d 2.422, I 100
42.9 deg, d 2.107, I 31
43.5 deg, d 2.080, I 16
60.0 deg, d 1.541, I 3
62.3 deg, d 1.490, I 9
62.8 deg, d 1.480, I 20
74.8 deg, d 1.269, I 21
75.7 deg, d 1.257, I 12
79.1 deg, d 1.211, I 9

Structural model:
```
CaAl8
1.0
-4.4688 4.4688 2.0795
4.4688 -4.4688 2.0795
4.4688 4.4688 -2.0795
Ca Al
1 8
direct
0.0000 0.0000 0.0000
0.0000 0.3448 0.3448
0.0000 0.6552 0.6552
0.3200 0.3200 0.6401
0.3200 0.6800 0.0000
0.3448 0.0000 0.3448
0.6552 0.0000 0.6552
0.6800 0.3200 0.0000
0.6800 0.6800 0.3599
```